Calculated XRD peak list of PtN2Cl2 for CuKα, from DFT lattice parameters and positions (PBE).

```
20
Lattice="9.168 0.000 0.000 0.000 9.168 0.000 0.000 0.000 5.183" Properties=species:S:1:pos:R:3 pbc="T T T"
Pt 0.000 0.000 0.000
Pt 0.000 0.000 2.591
Pt 4.584 4.584 0.000
Pt 4.584 4.584 2.591
N 0.055 1.984 0.000
N 1.984 9.113 0.000
N 2.600 4.529 2.591
N 4.529 6.568 2.591
N 4.639 2.600 2.591
N 6.568 4.639 2.591
N 7.185 0.055 0.000
N 9.113 7.185 0.000
Cl 0.113 2.305 2.591
Cl 2.279 4.471 0.000
Cl 2.305 9.055 2.591
Cl 4.471 6.889 0.000
Cl 4.697 2.279 0.000
Cl 6.863 0.113 2.591
Cl 6.889 4.697 0.000
Cl 9.055 6.863 2.591
```

Main lines, by angle (10° ≤ 2θ ≤ 90°):
hkl, 2theta, Rel. int.
1 1 0, 13.66, 1000
2 0 0, 19.36, 434
3 1 0, 30.84, 263
0 0 2, 34.61, 117
1 1 2, 37.37, 175
4 0 0, 39.31, 156
2 0 2, 39.97, 140
4 2 0, 44.18, 103
3 1 2, 47.03, 168
4 0 2, 53.36, 123

Calculated XRD peak list of PtN2Cl2 for CuKα, from DFT lattice parameters and positions (PBE).

```
10
Lattice="8.082 0.000 0.000 0.000 8.082 0.000 0.000 0.000 5.155" Properties=species:S:1:pos:R:3 pbc="T T T"
Pt 0.000 0.000 0.000
Pt 0.000 0.000 2.578
N 1.361 3.215 0.000
N 3.215 6.721 0.000
N 4.867 1.361 0.000
N 6.721 4.867 0.000
Cl 1.699 6.287 0.000
Cl 1.795 1.699 0.000
Cl 6.287 6.383 0.000
Cl 6.383 1.795 0.000
```

Main lines, by angle (10° ≤ 2θ ≤ 90°):
hkl, 2theta, Rel. int.
1 0 0, 10.95, 1000
1 1 0, 15.51, 377
1 2 0, 24.63, 268
2 2 0, 31.31, 130
3 1 0, 35.11, 122
1 0 2, 36.59, 115
3 2 0, 40.23, 109
1 2 2, 43.10, 124
3 1 2, 50.27, 88
3 2 2, 54.23, 91